[1]
NdTiAs: calculated X-ray diffraction stick pattern (Cu Kα (weighted mean of Kα1 and Kα2)), based on a structure optimized by DFT (PBE).

Structure:
Unit cell a=4.053 b=4.053 c=7.966 alpha=90.00 beta=90.00 gamma=90.00
Sites, in units of the cell vectors:
Nd 0.250 0.250 0.149
Nd 0.750 0.750 0.851
Ti 0.250 0.750 0.500
Ti 0.750 0.250 0.500
As 0.250 0.250 0.727
As 0.750 0.750 0.273

Main lines, low angle first (10° ≤ 2θ ≤ 90°):
- 2θ 31.21, I 61
- 2θ 31.49, I 100
- 2θ 33.22, I 51
- 2θ 38.71, I 60
- 2θ 40.62, I 27
- 2θ 44.72, I 53
- 2θ 55.72, I 40
- 2θ 62.65, I 22

---

[2]
Tl2SbSe: calculated X-ray diffraction stick pattern (Cu Kα (weighted mean of Kα1 and Kα2)), based on a structure optimized by DFT (PBE).

Structure:
Unit cell a=9.685 b=9.685 c=9.685 alpha=22.82 beta=22.82 gamma=22.82
Sites, in units of the cell vectors:
Tl 0.000 0.000 0.000
Tl 0.230 0.230 0.230
Sb 0.755 0.755 0.755
Se 0.488 0.488 0.488

Main lines, low angle first (10° ≤ 2θ ≤ 90°):
- 2θ 28.40, I 14
- 2θ 29.73, I 100
- 2θ 31.24, I 19
- 2θ 37.15, I 45
- 2θ 47.44, I 30
- 2θ 57.00, I 16
- 2θ 62.45, I 20
- 2θ 77.23, I 13